[1]
Diffraction record for Cs4Mn3TlF12. The XRD peak list is simulated, not measured: it uses DFT lattice parameters and positions (PBE+U) and Cu Kα (λ = 1.5418 Å).

Top 10 peaks for 2θ = 10–90°, in order of falling intensity:
2theta, I (rel.)
27.91, 1000
49.38, 402
39.89, 353
57.68, 220
79.30, 215
65.27, 188
13.85, 114
34.36, 84
37.21, 73
72.42, 70

```
20
Lattice="-4.520 4.520 4.520 4.520 -4.520 4.520 4.520 4.520 -4.520" Properties=species:S:1:pos:R:3 pbc="T T T"
Cs 2.260 2.260 -2.260
Cs 2.260 -2.260 2.260
Cs -2.260 2.260 2.260
Cs 2.260 2.260 2.260
Mn 4.520 0.000 0.000
Mn 0.000 4.520 0.000
Mn 0.000 0.000 4.520
Tl 0.000 0.000 0.000
F 2.544 0.000 0.000
F 6.497 0.000 0.000
F 4.520 2.260 0.000
F 4.520 0.000 2.260
F 0.000 2.544 0.000
F 0.000 0.000 2.544
F 2.260 4.520 0.000
F 2.260 0.000 4.520
F 0.000 6.497 0.000
F 0.000 0.000 6.497
F 0.000 4.520 2.260
F 0.000 2.260 4.520
```

---

[2]
Diffraction record for Cs3Mo2O6F3. The XRD peak list is simulated, not measured: it uses DFT lattice parameters and positions (PBE+U) and Cu Kα (λ = 1.5418 Å).

Top 10 peaks for 2θ = 10–90°, in order of falling intensity:
2theta, I (rel.)
27.45, 1000
23.07, 538
36.14, 392
48.51, 262
56.61, 130
45.96, 127
65.44, 120
77.71, 109
39.23, 108
19.33, 99

```
28
Lattice="6.503 0.000 0.000 -3.252 5.632 0.000 0.000 0.000 15.869" Properties=species:S:1:pos:R:3 pbc="T T T"
Cs 0.000 3.755 0.879
Cs 0.000 3.755 7.055
Cs 0.000 3.755 11.902
Cs 3.252 1.877 3.967
Cs 3.252 1.877 8.814
Cs 3.252 1.877 14.990
Mo 0.000 0.000 2.273
Mo 0.000 0.000 5.662
Mo 0.000 0.000 10.207
Mo 0.000 0.000 13.597
O 0.000 1.620 9.497
O 0.000 1.620 14.307
O -1.848 4.822 9.497
O -1.848 4.822 14.307
O 1.403 0.810 1.562
O 1.403 0.810 6.372
O 1.848 4.822 9.497
O 1.848 4.822 14.307
O 5.100 0.810 1.562
O 5.100 0.810 6.372
O 3.252 4.012 1.562
O 3.252 4.012 6.372
F 0.000 1.444 3.967
F -2.001 4.910 3.967
F 1.250 0.722 11.902
F 2.001 4.910 3.967
F 5.253 0.722 11.902
F 3.252 4.188 11.902
```